Calculated X-ray powder pattern of RbP2WO8 for CuKα, from a crystal structure in the Materials Project, relaxed with GGA+U.
Peak positions follow from Bragg's law for the DFT cell and can differ from measured ones.

Atomic structure:
```
RbP2WO8
1.0
5.2040 0.0000 0.0000
0.0000 12.2101 0.0000
-5.0315 0.0000 11.9130
Rb P W O
4 8 4 32
Direct
0.2014 0.1227 0.4613
0.2014 0.3773 0.9613
0.7986 0.6227 0.0387
0.7986 0.8773 0.5387
0.1025 0.7049 0.8351
0.1025 0.7951 0.3351
0.1169 0.0712 0.8730
0.1169 0.4288 0.3730
0.8831 0.5712 0.6270
0.8831 0.9288 0.1270
0.8975 0.2049 0.6649
0.8975 0.2951 0.1649
0.4118 0.1079 0.1707
0.4118 0.3921 0.6707
0.5882 0.6079 0.3293
0.5882 0.8921 0.8293
0.0655 0.2044 0.1370
0.0655 0.2956 0.6370
0.0777 0.1810 0.7988
0.0777 0.3190 0.2988
0.1417 0.6030 0.9034
0.1417 0.8970 0.4034
0.1760 0.5335 0.6405
0.1760 0.9665 0.1405
0.2588 0.5145 0.3277
0.2588 0.9855 0.8277
0.2904 0.1104 0.9912
0.2904 0.3896 0.4912
0.3830 0.7486 0.3390
0.3830 0.7514 0.8390
0.4816 0.6060 0.1826
0.4816 0.8940 0.6826
0.5184 0.1060 0.3174
0.5184 0.3940 0.8174
0.6170 0.2486 0.1610
0.6170 0.2514 0.6610
0.7096 0.6104 0.5088
0.7096 0.8896 0.0088
0.7412 0.0145 0.1723
0.7412 0.4855 0.6723
0.8240 0.0335 0.8595
0.8240 0.4665 0.3595
0.8583 0.1030 0.5966
0.8583 0.3970 0.0966
0.9223 0.6810 0.7012
0.9223 0.8190 0.2012
0.9345 0.7044 0.3630
0.9345 0.7956 0.8630
```

Top 10 peaks for 15 to 90 degrees two-theta, most intense first:
23.6 deg, intensity 100; 16.3 deg, intensity 94; 22.5 deg, intensity 86; 27.2 deg, intensity 52; 16.6 deg, intensity 51; 26.9 deg, intensity 45; 34.5 deg, intensity 45; 23.7 deg, intensity 41; 28.8 deg, intensity 38; 45.8 deg, intensity 37